Entry 1:
Starting from a crystal structure in the Materials Project, relaxed with PBE+U, the X-ray diffraction stick pattern of MgCo4O8 was simulated for Cu Kα (weighted mean of Kα1 and Kα2).
Lines closer than 0.1° are merged.

Most intense lines, 10 to 80 degrees two-theta, low angle first:
2theta	I_rel	index
18.79	100	1 0 0
18.95	22	1 0 -1
36.06	9	0 1 1
36.65	18	1 2 -2
38.08	12	0 2 -2
38.14	7	2 0 0
43.72	27	0 0 2
44.62	26	2 -2 0
44.80	26	2 2 -2
63.97	7	2 -2 2
64.52	15	-2 2 2
64.80	7	0 4 -2

Cell and atoms:
```
data_MgCo4O8
_cell_length_a 5.7106
_cell_length_b 5.7553
_cell_length_c 5.7785
_cell_angle_alpha 119.86
_cell_angle_beta 119.10
_cell_angle_gamma 90.23
_space_group_name_H-M_alt 'P -1'
_space_group_IT_number 2
loop_
_space_group_symop_operation_xyz
'x,y,z'
'-x,-y,-z'
loop_
_atom_site_label
_atom_site_fract_x
_atom_site_fract_y
_atom_site_fract_z
Mg1 0.0000 0.0000 0.0000
Co1 0.0000 0.0000 0.5000
Co2 0.0000 0.5000 0.0000
Co3 0.0000 0.5000 0.5000
Co4 0.5000 0.5000 0.0000
O1 0.1965 0.7323 0.4626
O2 0.2183 0.2502 0.4992
O3 0.2189 0.7124 0.9575
O4 0.2201 0.2476 0.9584
```

***

Entry 2:
Starting from a crystal structure in the Materials Project, relaxed with PBE+U, the X-ray diffraction stick pattern of RbFe2F6 was simulated for Cu Kα (weighted mean of Kα1 and Kα2).
Lines closer than 0.1° are merged.

Most intense lines, 10 to 80 degrees two-theta, low angle first:
2theta	I_rel	index
24.29	29	1 1 2
28.03	100	1 2 1
28.46	37	0 1 3
28.77	44	1 0 3
28.97	61	2 1 1
29.23	25	0 2 2
30.44	22	2 0 2
43.57	15	3 1 2
44.48	21	0 3 3
48.03	24	0 4 0
49.77	45	2 2 4
56.95	15	1 4 3

Cell and atoms:
```
data_RbFe2F6
_cell_length_a 7.1376
_cell_length_b 7.5774
_cell_length_c 10.3353
_cell_angle_alpha 90.00
_cell_angle_beta 90.00
_cell_angle_gamma 90.00
_space_group_name_H-M_alt 'P n m a'
_space_group_IT_number 62
loop_
_space_group_symop_operation_xyz
'x,y,z'
'-x,-y,-z'
'-x+1/2,-y,z+1/2'
'x+1/2,y,-z+1/2'
'x+1/2,-y+1/2,-z+1/2'
'-x+1/2,y+1/2,z+1/2'
'-x,y+1/2,-z'
'x,-y+1/2,z'
loop_
_atom_site_label
_atom_site_fract_x
_atom_site_fract_y
_atom_site_fract_z
Rb1 0.0077 0.2500 0.1218
Fe1 0.0000 0.0000 0.5000
Fe2 0.2028 0.2500 0.7683
F1 0.0641 0.7500 0.1601
F2 0.0663 0.2500 0.4640
F3 0.1267 0.0095 0.6670
F4 0.2382 0.5630 0.4192
```

***

Entry 3:
Starting from a crystal structure in the Materials Project, relaxed with PBE+U, the X-ray diffraction stick pattern of KMnSn3O8 was simulated for Cu Kα (weighted mean of Kα1 and Kα2).
Lines closer than 0.1° are merged.

Most intense lines, 10 to 80 degrees two-theta, low angle first:
2theta	I_rel	index
11.75	82	0 0 1
16.82	100	0 1 -1
23.63	27	0 0 2
26.63	52	0 1 -2
26.85	70	0 2 1
26.96	39	0 2 -1
32.88	27	1 0 -1
33.11	31	1 1 -1
33.22	36	1 -1 0
33.60	28	1 -1 1
33.87	52	1 2 0
34.12	72	1 2 1

Cell and atoms:
```
data_KMnSn3O8
_cell_length_a 3.2354
_cell_length_b 7.5286
_cell_length_c 7.6514
_cell_angle_alpha 87.73
_cell_angle_beta 79.79
_cell_angle_gamma 78.67
_space_group_name_H-M_alt 'P 1'
_space_group_IT_number 1
loop_
_space_group_symop_operation_xyz
'x,y,z'
loop_
_atom_site_label
_atom_site_fract_x
_atom_site_fract_y
_atom_site_fract_z
K1 0.0000 0.0000 0.0000
Mn1 0.3282 0.5342 0.8301
Sn1 0.1514 0.2147 0.5342
Sn2 0.6485 0.5069 0.1836
Sn3 0.8382 0.8311 0.5057
O1 0.0261 0.6449 0.3034
O2 0.2659 0.3753 0.0560
O3 0.3289 0.7236 0.6402
O4 0.3290 0.9741 0.3762
O5 0.6260 0.6718 0.9622
O6 0.6641 0.0711 0.6620
O7 0.6643 0.3149 0.3859
O8 0.9790 0.4047 0.7225
```